Entry 1:
Nd2Tm8Th3: computed powder diffraction line list (Cu Kα (λ = 1.5418 Å)), based on a crystal structure in Alexandria, relaxed with GGA-PBE.
Kinematic intensities with the Lorentz-polarization factor, no thermal factor.

Most intense lines, 10 to 90 degrees two-theta, low angle first:
2θ = 24.05°, d 3.701, I 26; 2θ = 31.27°, d 2.861, I 100; 2θ = 31.91°, d 2.804, I 43; 2θ = 32.02°, d 2.795, I 47; 2θ = 32.46°, d 2.758, I 36; 2θ = 37.18°, d 2.418, I 17; 2θ = 40.44°, d 2.231, I 14; 2θ = 56.60°, d 1.626, I 20; 2θ = 60.45°, d 1.531, I 14; 2θ = 63.30°, d 1.469, I 15

Crystal structure
a b c (Å): 11.9284 11.9284 11.9284
angles (deg): 152.90 147.22 43.04
Element x y z (fractional)
Nd 0.2247 0.2247 0.0000
Nd 0.7753 0.7753 0.0000
Tm 0.0754 0.0754 0.0000
Tm 0.0934 0.3520 0.7413
Tm 0.3224 0.8224 0.5000
Tm 0.3893 0.6480 0.7413
Tm 0.6107 0.3520 0.2587
Tm 0.6776 0.1776 0.5000
Tm 0.9066 0.6480 0.2587
Tm 0.9246 0.9246 0.0000
Th 0.2315 0.5000 0.7315
Th 0.5000 0.0000 0.5000
Th 0.7685 0.5000 0.2685

Entry 2:
Mg2TlRu: computed powder diffraction line list (Cu Kα (λ = 1.5418 Å)), based on a crystal structure in Alexandria, relaxed with GGA-PBE.
Kinematic intensities with the Lorentz-polarization factor, no thermal factor.

Most intense lines, 10 to 90 degrees two-theta, low angle first:
2θ = 24.11°, d 3.691, I 88; 2θ = 37.35°, d 2.408, I 100; 2θ = 37.75°, d 2.383, I 28; 2θ = 40.90°, d 2.206, I 19; 2θ = 44.60°, d 2.031, I 30; 2θ = 51.34°, d 1.780, I 24; 2θ = 59.83°, d 1.546, I 15; 2θ = 62.11°, d 1.494, I 23; 2θ = 72.15°, d 1.309, I 14; 2θ = 77.36°, d 1.234, I 24

Crystal structure
a b c (Å): 5.2654 5.2654 5.2654
angles (deg): 134.61 134.61 66.13
Element x y z (fractional)
Mg 0.0000 0.0000 0.0000
Mg 0.7500 0.2500 0.5000
Tl 0.5000 0.5000 0.0000
Ru 0.2500 0.7500 0.5000

Entry 3:
Y2CdC: computed powder diffraction line list (Cu Kα (λ = 1.5418 Å)), based on a crystal structure in Alexandria, relaxed with GGA-PBE.
Kinematic intensities with the Lorentz-polarization factor, no thermal factor.

Most intense lines, 10 to 90 degrees two-theta, low angle first:
2θ = 28.79°, d 3.101, I 35; 2θ = 32.17°, d 2.782, I 100; 2θ = 33.05°, d 2.710, I 36; 2θ = 34.06°, d 2.633, I 73; 2θ = 41.36°, d 2.183, I 17; 2θ = 50.56°, d 1.805, I 36; 2θ = 57.26°, d 1.609, I 16; 2θ = 60.86°, d 1.522, I 15; 2θ = 61.20°, d 1.514, I 15; 2θ = 61.74°, d 1.502, I 34

Crystal structure
a b c (Å): 8.3943 8.3943 8.3943
angles (deg): 24.84 24.84 24.84
Element x y z (fractional)
Y 0.2220 0.2220 0.2220
Y 0.7780 0.7780 0.7780
Cd 0.0000 0.0000 0.0000
C 0.5000 0.5000 0.5000